# 1
Starting from a crystal structure in Alexandria, relaxed with PBE, the powder X-ray diffraction pattern of Sc4OsRh2 was computed for CuKα.
Kinematic intensities with the Lorentz-polarization factor, no thermal factor.

Cell and atoms:
Lattice parameters (Å, degrees): 4.5739 4.5739 21.8914 90.00 90.00 120.00
Space group R-3m (No. 166, hexagonal axes)
Inequivalent atoms, fractional coordinates:
Sc 0.0000 0.0000 0.1239 [6 per cell]
Sc 0.0000 0.0000 0.3746 [6 per cell]
Os 0.0000 0.0000 0.5000 [3 per cell]
Rh 0.0000 0.0000 0.2492 [6 per cell]

Principal peaks in the range 2θ from 10° to 90°, in order of rising 2θ:
index	Position (°2θ)	Rel. int.
0 0 3	12.13	60
1 0 1	22.81	42
1 0 4	27.80	36
1 1 0	39.40	100
0 1 8	40.05	95
1 2 8	71.88	32

---

# 2
Starting from a crystal structure in Alexandria, relaxed with PBE, the powder X-ray diffraction pattern of Sc2OsRh4 was computed for CuKα.
Kinematic intensities with the Lorentz-polarization factor, no thermal factor.

Cell and atoms:
Lattice parameters (Å, degrees): 4.6922 4.6922 12.9636 90.00 90.00 90.00
Space group I4/mmm (No. 139)
Inequivalent atoms, fractional coordinates:
Sc 0.0000 0.0000 0.1305 [4 per cell]
Os 0.0000 0.0000 0.5000 [2 per cell]
Rh 0.0000 0.0000 0.3062 [4 per cell]
Rh 0.0000 0.5000 0.0000 [4 per cell]

Principal peaks in the range 2θ from 10° to 90°, in order of rising 2θ:
index	Position (°2θ)	Rel. int.
0 0 2	13.66	67
1 0 1	20.13	81
1 1 0	26.87	41
2 0 0	38.37	100
1 0 5	39.72	74
2 1 5	56.41	52

---

# 3
Starting from a crystal structure in Alexandria, relaxed with PBE, the powder X-ray diffraction pattern of Si4OsRh was computed for CuKα.
Kinematic intensities with the Lorentz-polarization factor, no thermal factor.

Cell and atoms:
Lattice parameters (Å, degrees): 6.8303 6.8303 6.8303 90.00 90.00 90.00
Space group F-43m (No. 216)
Inequivalent atoms, fractional coordinates:
Si 0.1249 0.1249 0.1249 [16 per cell]
Os 0.2500 0.2500 0.7500 [4 per cell]
Rh 0.0000 0.0000 0.5000 [4 per cell]

Principal peaks in the range 2θ from 10° to 90°, in order of rising 2θ:
index	Position (°2θ)	Rel. int.
1 1 1	22.55	65
2 2 0	37.23	94
3 1 1	43.97	100
4 2 2	67.14	33
5 1 1	71.81	31
4 4 0	79.36	20

---

# 4
Starting from a crystal structure in Alexandria, relaxed with PBE, the powder X-ray diffraction pattern of Sr2OsRh was computed for CuKα.
Kinematic intensities with the Lorentz-polarization factor, no thermal factor.

Cell and atoms:
Lattice parameters (Å, degrees): 4.3806 4.8271 10.7104 90.00 90.00 90.00
Space group Amm2 (No. 38)
Inequivalent atoms, fractional coordinates:
Sr 0.0000 0.0000 0.0000 [2 per cell]
Sr 0.5000 0.0000 0.2861 [2 per cell]
Os 0.0000 0.0000 0.6883 [2 per cell]
Rh 0.5000 0.0000 0.5986 [2 per cell]

Principal peaks in the range 2θ from 10° to 90°, in order of rising 2θ:
index	Position (°2θ)	Rel. int.
0 0 2	16.55	77
0 1 1	20.19	71
1 1 1	28.75	100
0 1 3	31.16	96
0 2 0	37.25	51
1 1 3	37.46	82

---

# 5
Starting from a crystal structure in Alexandria, relaxed with PBE, the powder X-ray diffraction pattern of SrOsRh2 was computed for CuKα.
Kinematic intensities with the Lorentz-polarization factor, no thermal factor.

Cell and atoms:
Lattice parameters (Å, degrees): 2.8513 3.6347 7.1795 90.00 90.00 90.00
Space group Pmmm (No. 47)
Inequivalent atoms, fractional coordinates:
Sr 0.0000 0.0000 0.0000 [1 per cell]
Os 0.0000 0.0000 0.5000 [1 per cell]
Rh 0.5000 0.5000 0.3145 [2 per cell]

Principal peaks in the range 2θ from 10° to 90°, in order of rising 2θ:
index	Position (°2θ)	Rel. int.
0 0 1	12.33	100
0 1 2	35.14	90
1 1 0	40.20	82
1 0 2	40.40	61
0 1 3	45.37	22
1 2 2	66.32	28

---

# 6
Starting from a crystal structure in Alexandria, relaxed with PBE, the powder X-ray diffraction pattern of SrOs2Rh2 was computed for CuKα.
Kinematic intensities with the Lorentz-polarization factor, no thermal factor.

Cell and atoms:
Lattice parameters (Å, degrees): 4.2979 4.2979 10.4517 90.00 90.00 90.00
Space group I4/mmm (No. 139)
Inequivalent atoms, fractional coordinates:
Sr 0.0000 0.0000 0.0000 [2 per cell]
Os 0.0000 0.0000 0.3892 [4 per cell]
Rh 0.0000 0.5000 0.2500 [4 per cell]

Principal peaks in the range 2θ from 10° to 90°, in order of rising 2θ:
index	Position (°2θ)	Rel. int.
1 0 1	22.37	83
1 0 3	33.10	60
1 1 2	34.13	100
2 0 0	42.05	95
1 1 4	45.80	73
1 0 5	48.42	54

---

# 7
Starting from a crystal structure in Alexandria, relaxed with PBE, the powder X-ray diffraction pattern of Ta4OsRh was computed for CuKα.
Kinematic intensities with the Lorentz-polarization factor, no thermal factor.

Cell and atoms:
Lattice parameters (Å, degrees): 7.4807 7.4807 7.4807 90.00 90.00 90.00
Space group F-43m (No. 216)
Inequivalent atoms, fractional coordinates:
Ta 0.1243 0.1243 0.1243 [16 per cell]
Os 0.2500 0.2500 0.7500 [4 per cell]
Rh 0.0000 0.0000 0.5000 [4 per cell]

Principal peaks in the range 2θ from 10° to 90°, in order of rising 2θ:
index	Position (°2θ)	Rel. int.
2 2 0	33.89	21
3 1 1	39.97	100
2 2 2	41.83	47
3 3 3	64.75	32
4 4 0	71.32	29
6 2 2	86.25	19

---

# 8
Starting from a crystal structure in Alexandria, relaxed with PBE, the powder X-ray diffraction pattern of TaOsRh was computed for CuKα.
Kinematic intensities with the Lorentz-polarization factor, no thermal factor.

Cell and atoms:
Lattice parameters (Å, degrees): 2.8277 14.5912 4.4801 90.00 90.00 90.00
Space group Cmcm (No. 63)
Inequivalent atoms, fractional coordinates:
Ta 0.0000 0.1074 0.2500 [4 per cell]
Os 0.0000 0.2260 0.7500 [4 per cell]
Rh 0.0000 0.4394 0.2500 [4 per cell]

Principal peaks in the range 2θ from 10° to 90°, in order of rising 2θ:
index	Position (°2θ)	Rel. int.
0 6 0	36.96	17
0 0 2	40.26	35
1 3 1	42.11	100
0 6 1	42.29	37
1 3 3	74.45	19
1 9 2	80.66	18

---

# 9
Starting from a crystal structure in Alexandria, relaxed with PBE, the powder X-ray diffraction pattern of Ta4OsRh5 was computed for CuKα.
Kinematic intensities with the Lorentz-polarization factor, no thermal factor.

Cell and atoms:
Lattice parameters (Å, degrees): 4.7635 5.5975 6.4313 75.77 73.78 76.72
Space group P-1 (No. 2)
Inequivalent atoms, fractional coordinates:
Ta 0.1307 0.3754 0.3094 [2 per cell]
Ta 0.3077 0.1892 0.8710 [2 per cell]
Os 0.5000 0.5000 0.5000 [1 per cell]
Rh 0.1076 0.9042 0.2901 [2 per cell]
Rh 0.2788 0.6863 0.9090 [2 per cell]
Rh 0.5000 0.0000 0.5000 [1 per cell]

Principal peaks in the range 2θ from 10° to 90°, in order of rising 2θ:
index	Position (°2θ)	Rel. int.
1 2 2	38.94	100
2 0 1	39.24	98
0 2 -1	39.42	98
1 0 -2	39.58	95
-1 2 1	44.25	68
1 0 3	44.63	65

---

# 10
Starting from a crystal structure in Alexandria, relaxed with PBE, the powder X-ray diffraction pattern of TcOs2Rh4 was computed for CuKα.
Kinematic intensities with the Lorentz-polarization factor, no thermal factor.

Cell and atoms:
Lattice parameters (Å, degrees): 5.4091 7.5329 5.3425 90.00 90.00 90.00
Space group Cmmm (No. 65)
Inequivalent atoms, fractional coordinates:
Tc 0.0000 0.0000 0.0000 [2 per cell]
Os 0.0000 0.5000 0.0000 [2 per cell]
Os 0.0000 0.5000 0.5000 [2 per cell]
Rh 0.2500 0.2500 0.2557 [8 per cell]

Principal peaks in the range 2θ from 10° to 90°, in order of rising 2θ:
index	Position (°2θ)	Rel. int.
1 1 0	20.21	55
2 2 0	41.09	100
0 2 2	41.44	97
2 0 2	47.86	64
0 4 0	48.33	31
2 4 2	70.38	40

---

# 11
Starting from a crystal structure in Alexandria, relaxed with PBE, the powder X-ray diffraction pattern of TcOs2Rh6 was computed for CuKα.
Kinematic intensities with the Lorentz-polarization factor, no thermal factor.

Cell and atoms:
Lattice parameters (Å, degrees): 5.2021 5.2021 18.5489 90.00 90.00 120.00
Space group R3m (No. 160, hexagonal axes)
Inequivalent atoms, fractional coordinates:
Tc 0.0000 0.0000 0.0000 [3 per cell]
Os 0.0000 0.0000 0.6109 [3 per cell]
Os 0.0000 0.0000 0.7357 [3 per cell]
Rh 0.1707 0.3415 0.8958 [9 per cell]
Rh 0.1721 0.3442 0.1089 [9 per cell]

Principal peaks in the range 2θ from 10° to 90°, in order of rising 2θ:
index	Position (°2θ)	Rel. int.
0 0 6	28.88	42
1 1 3	37.51	43
0 2 1	40.33	100
0 1 8	43.92	46
0 2 4	44.73	44
2 0 5	47.21	67

---

# 12
Starting from a crystal structure in Alexandria, relaxed with PBE, the powder X-ray diffraction pattern of Th6OsRh5 was computed for CuKα.
Kinematic intensities with the Lorentz-polarization factor, no thermal factor.

Cell and atoms:
Lattice parameters (Å, degrees): 4.1673 7.9846 8.9409 94.34 103.42 90.03
Space group P-1 (No. 2)
Inequivalent atoms, fractional coordinates:
Th 0.0001 0.2448 0.0000 [2 per cell]
Th 0.3362 0.4804 0.6745 [2 per cell]
Th 0.3363 0.9807 0.6753 [2 per cell]
Os 0.5000 0.0000 0.0000 [1 per cell]
Rh 0.1881 0.7722 0.3741 [2 per cell]
Rh 0.1886 0.2777 0.3741 [2 per cell]
Rh 0.5000 0.5000 0.0000 [1 per cell]

Principal peaks in the range 2θ from 10° to 90°, in order of rising 2θ:
index	Position (°2θ)	Rel. int.
0 0 3	30.94	70
1 2 -1	31.21	100
-1 2 1	31.80	38
1 2 2	41.90	47
2 0 -1	43.43	32
2 0 -4	54.27	29